# Ho2ErCu4Si2Ge2
Theoretical powder diffraction line list, Cu Ka. Input: a cell relaxed with PBE.
Intensities are scaled so that the largest is 1000.

abc: 4.1254 6.5801 13.7680
angles: 90.00 90.00 90.00
Space group Immm (No. 71)
Asymmetric unit:
Ho: 0.0000 0.0000 0.1298
Er: 0.0000 0.5000 0.0000
Cu: 0.0000 0.1908 0.3259
Si: 0.0000 0.5000 0.2162
Ge: 0.0000 0.3063 0.5000

Most intense lines, 10° ≤ 2θ ≤ 90°, in order of rising 2θ:
2θ (°)  intensity
28.64  279
35.50  1000
36.64  925
39.29  303
43.89  353
45.86  382